1.
Starting from a cell relaxed with GGA-PBE, the X-ray diffraction stick pattern of Ce2ThBi3 was calculated for a wavelength of 1.5418 Å.
Kinematic intensities with the Lorentz-polarization factor, no thermal factor.

Largest 6 diffraction maxima, in order of rising 2θ, 5 to 70 degrees two-theta:
2θ 27.40, rel. 100
2θ 39.14, rel. 79
2θ 48.44, rel. 29
2θ 56.55, rel. 14
2θ 63.94, rel. 26
2θ 64.01, rel. 13

Structural model:
```
Ce2ThBi3
1.0
6.5143 0.0000 0.0000
0.0000 13.8049 0.0000
-0.0177 0.0000 9.2006
Ce Th Bi
8 4 12
Cartesian
1.6225 3.4569 1.1477
1.6137 3.4456 5.7480
1.6272 8.0536 1.1443
1.6184 12.6538 5.7446
4.8783 1.1511 3.4560
4.8695 5.7513 8.0563
4.8830 10.3593 3.4526
4.8741 10.3480 8.0529
1.6212 8.0573 5.7525
1.6300 12.6500 1.1522
4.8667 1.1549 8.0484
4.8755 5.7476 3.4481
1.6098 1.1499 8.0469
1.6186 5.7525 3.4466
1.6207 1.1501 3.4447
1.6119 5.7524 8.0450
1.6260 10.3500 3.4494
1.6171 10.3573 8.0497
4.8796 3.4476 1.1509
4.8707 3.4549 5.7512
4.8848 8.0525 1.1556
4.8760 12.6548 5.7559
4.8780 8.0524 5.7540
4.8869 12.6550 1.1537
```

=====

2.
Starting from a cell relaxed with GGA-PBE, the X-ray diffraction stick pattern of Ce2ThBi3 was calculated for a wavelength of 1.5418 Å.
Kinematic intensities with the Lorentz-polarization factor, no thermal factor.

Largest 6 diffraction maxima, in order of rising 2θ, 5 to 70 degrees two-theta:
2θ 27.40, rel. 100
2θ 39.14, rel. 79
2θ 48.44, rel. 29
2θ 56.55, rel. 14
2θ 63.95, rel. 32
2θ 64.01, rel. 6

Structural model:
```
Ce2ThBi3
1.0
-2.2995 3.2548 6.9105
2.2995 -3.2548 6.9105
2.2995 3.2548 -6.9105
Ce Th Bi
2 1 3
Cartesian
0.0000 0.0000 2.3062
0.0000 0.0000 11.5149
0.0000 0.0000 6.9105
2.2995 0.0000 0.0000
2.2995 0.0000 4.6059
0.0000 3.2548 2.3047
```

=====

3.
Starting from a cell relaxed with GGA-PBE, the X-ray diffraction stick pattern of CeTmTh2Bi5 was calculated for a wavelength of 1.5418 Å.
Kinematic intensities with the Lorentz-polarization factor, no thermal factor.

Largest 6 diffraction maxima, in order of rising 2θ, 5 to 70 degrees two-theta:
2θ 7.45, rel. 67
2θ 23.37, rel. 70
2θ 27.85, rel. 43
2θ 32.65, rel. 63
2θ 33.29, rel. 100
2θ 45.51, rel. 55

Structural model:
```
CeTmTh2Bi5
1.0
5.3833 0.0000 0.0000
0.0000 5.3833 0.0000
0.0000 0.0000 11.8642
Ce Tm Th Bi
1 1 2 5
Cartesian
0.0000 0.0000 0.0000
0.0000 0.0000 5.9321
2.6916 2.6916 3.6099
2.6916 2.6916 8.2542
0.0000 0.0000 2.9772
0.0000 0.0000 8.8869
0.0000 2.6916 5.9321
2.6916 0.0000 5.9321
2.6916 2.6916 0.0000
```

=====

4.
Starting from a cell relaxed with GGA-PBE, the X-ray diffraction stick pattern of CeYTh2Bi5 was calculated for a wavelength of 1.5418 Å.
Kinematic intensities with the Lorentz-polarization factor, no thermal factor.

Largest 6 diffraction maxima, in order of rising 2θ, 5 to 70 degrees two-theta:
2θ 7.44, rel. 48
2θ 23.17, rel. 65
2θ 27.67, rel. 56
2θ 32.48, rel. 80
2θ 33.00, rel. 100
2θ 45.26, rel. 51

Structural model:
```
CeYTh2Bi5
1.0
5.4282 0.0000 0.0000
0.0000 5.4282 0.0000
0.0000 0.0000 11.8826
Ce Y Th Bi
1 1 2 5
Cartesian
0.0000 0.0000 0.0000
0.0000 0.0000 5.9413
2.7141 2.7141 3.6487
2.7141 2.7141 8.2339
0.0000 0.0000 2.9691
0.0000 0.0000 8.9135
0.0000 2.7141 5.9413
2.7141 0.0000 5.9413
2.7141 2.7141 0.0000
```

=====

5.
Starting from a cell relaxed with GGA-PBE, the X-ray diffraction stick pattern of Ce8Tl3Bi2 was calculated for a wavelength of 1.5418 Å.
Kinematic intensities with the Lorentz-polarization factor, no thermal factor.

Largest 6 diffraction maxima, in order of rising 2θ, 5 to 70 degrees two-theta:
2θ 23.10, rel. 80
2θ 30.30, rel. 63
2θ 32.13, rel. 100
2θ 32.59, rel. 57
2θ 33.46, rel. 53
2θ 38.85, rel. 76

Structural model:
```
Ce8Tl3Bi2
1.0
7.3221 -4.6118 0.0000
7.3221 4.6118 0.0000
-1.8230 0.0000 5.9000
Ce Tl Bi
8 3 2
Cartesian
4.0787 2.8890 5.5413
1.1035 0.0000 2.3649
8.7425 2.8890 0.3587
3.9028 0.0000 2.6374
8.9184 0.0000 3.2626
4.0787 -2.8890 5.5413
11.7177 0.0000 3.5351
8.7425 -2.8890 0.3587
6.4106 2.0688 2.9500
7.3221 0.0000 0.0000
6.4106 -2.0688 2.9500
2.2470 0.0000 5.3851
10.5742 0.0000 0.5149
```

=====

6.
Starting from a cell relaxed with GGA-PBE, the X-ray diffraction stick pattern of Ce7TlBi3 was calculated for a wavelength of 1.5418 Å.
Kinematic intensities with the Lorentz-polarization factor, no thermal factor.

Largest 6 diffraction maxima, in order of rising 2θ, 5 to 70 degrees two-theta:
2θ 19.23, rel. 32
2θ 28.88, rel. 67
2θ 28.99, rel. 67
2θ 34.97, rel. 30
2θ 35.70, rel. 100
2θ 41.38, rel. 51

Structural model:
```
Ce7TlBi3
1.0
-3.0805 4.6160 6.1836
3.0805 -4.6160 6.1836
3.0805 4.6160 -6.1836
Ce Tl Bi
7 1 3
Cartesian
0.0000 0.0000 0.0000
3.0805 -1.3100 3.1481
3.0805 3.2525 0.0000
3.0805 1.3100 3.1481
0.0000 3.3060 3.0355
0.0000 1.3635 6.1836
0.0000 5.9260 3.0355
3.0805 0.0000 0.0000
0.0000 0.0000 3.2058
0.0000 4.6160 0.0000
0.0000 0.0000 9.1615
```

=====

7.
Starting from a cell relaxed with GGA-PBE, the X-ray diffraction stick pattern of Ce2TlBi4 was calculated for a wavelength of 1.5418 Å.
Kinematic intensities with the Lorentz-polarization factor, no thermal factor.

Largest 6 diffraction maxima, in order of rising 2θ, 5 to 70 degrees two-theta:
2θ 25.14, rel. 15
2θ 31.74, rel. 18
2θ 32.01, rel. 100
2θ 39.57, rel. 32
2θ 51.60, rel. 19
2θ 67.07, rel. 25

Structural model:
```
Ce2TlBi4
1.0
4.5545 0.0000 0.0000
0.0000 4.5545 0.0000
0.0000 0.0000 11.2756
Ce Tl Bi
2 1 4
Cartesian
0.0000 2.2773 2.5669
2.2773 0.0000 8.7087
0.0000 0.0000 5.6378
0.0000 0.0000 0.0000
0.0000 2.2773 7.9833
2.2773 0.0000 3.2923
2.2773 2.2773 0.0000
```

=====

8.
Starting from a cell relaxed with GGA-PBE, the X-ray diffraction stick pattern of Ce4YBi5 was calculated for a wavelength of 1.5418 Å.
Kinematic intensities with the Lorentz-polarization factor, no thermal factor.

Largest 6 diffraction maxima, in order of rising 2θ, 5 to 70 degrees two-theta:
2θ 23.79, rel. 9
2θ 27.54, rel. 100
2θ 39.34, rel. 78
2θ 48.70, rel. 29
2θ 56.86, rel. 14
2θ 64.32, rel. 38

Structural model:
```
Ce4YBi5
1.0
-2.2901 3.2400 11.4457
2.2901 -3.2400 11.4457
2.2901 3.2400 -11.4457
Ce Y Bi
4 1 5
Cartesian
0.0000 0.0000 2.2802
0.0000 0.0000 6.9031
0.0000 0.0000 15.9883
0.0000 0.0000 20.6112
0.0000 0.0000 11.4457
2.2901 0.0000 0.0000
2.2901 0.0000 4.5853
2.2901 0.0000 9.2105
0.0000 3.2400 2.2353
0.0000 3.2400 6.8604
```

=====

9.
Starting from a cell relaxed with GGA-PBE, the X-ray diffraction stick pattern of Ce2YBi3 was calculated for a wavelength of 1.5418 Å.
Kinematic intensities with the Lorentz-polarization factor, no thermal factor.

Largest 6 diffraction maxima, in order of rising 2θ, 5 to 70 degrees two-theta:
2θ 23.89, rel. 11
2θ 27.65, rel. 100
2θ 39.50, rel. 78
2θ 48.90, rel. 28
2θ 57.10, rel. 13
2θ 64.60, rel. 37

Structural model:
```
Ce2YBi3
1.0
0.0000 6.4531 13.6959
4.5594 0.0000 13.6959
4.5594 6.4531 0.0000
Ce Y Bi
8 4 12
Cartesian
1.1398 1.6133 1.1611
3.4195 4.8399 3.4041
1.1398 1.6133 5.6868
5.6992 8.0664 10.2521
3.4195 4.8399 17.1397
7.9789 11.2930 21.7049
5.6992 8.0664 23.9876
7.9789 11.2930 26.2306
3.4195 4.8399 7.9833
3.4195 4.8399 12.5605
5.6992 8.0664 14.8312
5.6992 8.0664 19.4084
3.4421 1.6387 7.9682
5.6493 4.8399 10.2719
3.3970 1.6387 12.5756
5.6767 4.8653 14.8162
7.9290 8.0664 17.1198
5.7218 4.8653 19.4235
3.3970 8.0410 7.9682
1.1898 4.8399 10.2719
3.4421 8.0410 12.5756
5.7218 11.2676 14.8162
3.4695 8.0664 17.1198
5.6767 11.2676 19.4235
```

=====

10.
Starting from a cell relaxed with GGA-PBE, the X-ray diffraction stick pattern of CeY5Bi5 was calculated for a wavelength of 1.5418 Å.
Kinematic intensities with the Lorentz-polarization factor, no thermal factor.

Largest 6 diffraction maxima, in order of rising 2θ, 5 to 70 degrees two-theta:
2θ 28.24, rel. 65
2θ 28.36, rel. 65
2θ 28.48, rel. 64
2θ 40.50, rel. 100
2θ 40.63, rel. 49
2θ 50.21, rel. 54

Structural model:
```
CeY5Bi5
1.0
7.0096 -3.1602 0.0000
7.0096 3.1602 0.0000
-2.7845 0.0000 8.4415
Ce Y Bi
1 5 5
Cartesian
0.0000 0.0000 0.0000
-1.3922 0.0000 4.2207
4.2190 0.0000 1.4336
2.8845 0.0000 5.6042
8.3502 0.0000 2.8373
7.0157 0.0000 7.0079
1.4164 0.0000 2.8591
0.0827 0.0000 7.0021
7.0096 0.0000 0.0000
11.1520 0.0000 1.4394
9.8183 0.0000 5.5824
```

=====

11.
Starting from a cell relaxed with GGA-PBE, the X-ray diffraction stick pattern of BiCl5 was calculated for a wavelength of 1.5418 Å.
Kinematic intensities with the Lorentz-polarization factor, no thermal factor.

Largest 6 diffraction maxima, in order of rising 2θ, 5 to 70 degrees two-theta:
2θ 7.78, rel. 100
2θ 15.61, rel. 29
2θ 18.06, rel. 52
2θ 22.63, rel. 16
2θ 30.68, rel. 17
2θ 32.89, rel. 23

Structural model:
```
BiCl5
1.0
4.0545 0.0000 0.0000
0.0000 5.4483 0.0000
-1.1430 0.0000 11.3571
Bi Cl
1 5
Cartesian
0.0000 0.0000 0.0000
0.8814 0.0000 9.4968
1.2096 2.7241 6.6543
1.5229 2.7241 4.6858
2.0245 0.0000 1.8595
4.0501 2.7241 0.0091
```

=====

12.
Starting from a cell relaxed with GGA-PBE, the X-ray diffraction stick pattern of Co2BiCl8 was calculated for a wavelength of 1.5418 Å.
Kinematic intensities with the Lorentz-polarization factor, no thermal factor.

Largest 6 diffraction maxima, in order of rising 2θ, 5 to 70 degrees two-theta:
2θ 12.06, rel. 100
2θ 12.61, rel. 81
2θ 18.64, rel. 43
2θ 18.94, rel. 37
2θ 25.23, rel. 38
2θ 28.51, rel. 53

Structural model:
```
Co2BiCl8
1.0
9.1991 -4.3040 0.0000
9.1991 4.3040 0.0000
-7.9808 0.0000 9.4140
Co Bi Cl
4 2 16
Cartesian
-0.1440 2.2113 8.9724
6.5710 2.2113 5.1486
3.8464 -2.2113 4.2654
10.5614 -2.2113 0.4416
3.2135 0.0382 7.0605
7.2039 -0.0382 2.3535
2.4124 0.2502 0.4477
1.2487 2.0293 7.2410
-1.5780 -0.2502 5.1547
5.4625 1.8652 3.1809
-1.5073 0.4068 9.1622
8.9453 1.8652 1.5261
5.1783 2.0293 6.8800
2.4831 -0.4068 4.4552
7.9343 0.4068 4.9587
5.2391 -2.0293 2.5340
1.4721 -1.8652 7.8879
11.9247 -0.4068 0.2517
4.9549 -1.8652 6.2331
11.9954 0.2502 4.2593
9.1687 -2.0293 2.1730
8.0050 -0.2502 8.9663
```